No. 1
# Fe2PtRh
Theoretical powder diffractogram, Cu Kα (weighted mean of Kα1 and Kα2). Input: a DFT-relaxed cell (PBE, the Materials Project).
Lines closer than 0.1° are merged.

Structure:
```
Fe2PtRh
1.0
2.644 0.000 0.000
0.000 2.644 0.000
0.000 0.000 7.326
Fe Pt Rh
2 1 1
direct
0.000 0.000 0.244
0.000 0.000 0.756
0.500 0.500 0.500
0.500 0.500 0.000
```

The 10 most intense peaks (2θ = 10–90°), in order of falling intensity:
2theta  intensity
42.1  1000
48.7  327
86.5  246
24.3  195
72.2  195
12.1  179
33.9  169
49.8  152
88.1  117
71.3  101

No. 2
# FeSbPt
Theoretical powder diffractogram, Cu Kα (weighted mean of Kα1 and Kα2). Input: a DFT-relaxed cell (PBE, the Materials Project).
Lines closer than 0.1° are merged.

Structure:
```
FeSbPt
1.0
0.000 2.998 2.998
2.998 0.000 2.998
2.998 2.998 0.000
Fe Sb Pt
1 1 1
direct
0.000 0.000 0.000
0.250 0.250 0.250
0.750 0.750 0.750
```

The 10 most intense peaks (2θ = 10–90°), in order of falling intensity:
2theta  intensity
42.7  1000
29.8  612
78.1  333
70.2  222
52.9  169
61.9  163
25.7  156
50.5  77
68.2  31
83.8  24

No. 3
# FeSbPt
Theoretical powder diffractogram, Cu Kα (weighted mean of Kα1 and Kα2). Input: a DFT-relaxed cell (PBE, the Materials Project).
Lines closer than 0.1° are merged.

Structure:
```
FeSbPt
1.0
4.370 2.523 3.658
-4.370 2.523 3.658
0.000 -5.046 3.658
Fe Sb Pt
4 4 4
direct
0.000 0.000 0.000
0.237 0.491 0.740
0.491 0.740 0.237
0.740 0.237 0.491
0.229 0.229 0.229
0.492 0.992 0.743
0.743 0.492 0.992
0.992 0.743 0.492
0.093 0.137 0.645
0.137 0.645 0.093
0.596 0.596 0.596
0.645 0.093 0.137
```

The 10 most intense peaks (2θ = 10–90°), in order of falling intensity:
2theta  intensity
28.7  1000
48.5  678
24.9  566
32.3  495
31.9  471
47.9  400
40.6  348
48.8  342
35.4  336
41.3  318

No. 4
# FeSbPt
Theoretical powder diffractogram, Cu Kα (weighted mean of Kα1 and Kα2). Input: a DFT-relaxed cell (PBE, the Materials Project).
Lines closer than 0.1° are merged.

Structure:
```
FeSbPt
1.0
6.139 0.000 0.000
0.000 6.139 0.000
0.000 0.000 6.139
Fe Sb Pt
4 4 4
direct
0.122 0.122 0.122
0.378 0.878 0.622
0.622 0.378 0.878
0.878 0.622 0.378
0.113 0.387 0.613
0.387 0.613 0.113
0.613 0.113 0.387
0.887 0.887 0.887
0.033 0.967 0.467
0.467 0.033 0.967
0.533 0.533 0.533
0.967 0.467 0.033
```

The 10 most intense peaks (2θ = 10–90°), in order of falling intensity:
2theta  intensity
49.2  1000
32.6  949
29.1  937
35.8  664
56.0  552
25.1  513
41.6  501
85.1  290
70.3  262
79.6  246

No. 5
# FeSbPt
Theoretical powder diffractogram, Cu Kα (weighted mean of Kα1 and Kα2). Input: a DFT-relaxed cell (PBE, the Materials Project).
Lines closer than 0.1° are merged.

Structure:
```
FeSbPt
1.0
5.996 0.000 0.000
0.000 5.996 0.000
0.000 0.000 5.996
Fe Sb Pt
4 4 4
direct
0.005 0.495 0.505
0.495 0.505 0.005
0.505 0.005 0.495
0.995 0.995 0.995
0.246 0.246 0.246
0.254 0.754 0.746
0.746 0.254 0.754
0.754 0.746 0.254
0.247 0.753 0.253
0.253 0.247 0.753
0.747 0.747 0.747
0.753 0.253 0.247
```

The 10 most intense peaks (2θ = 10–90°), in order of falling intensity:
2theta  intensity
42.7  1000
29.8  613
78.1  331
70.2  222
52.9  169
61.9  163
25.7  156
50.5  77
68.2  31
83.8  24

No. 6
# Pu6Fe
Theoretical powder diffractogram, Cu Kα (weighted mean of Kα1 and Kα2). Input: a DFT-relaxed cell (PBE, the Materials Project).
Lines closer than 0.1° are merged.

Structure:
```
Pu6Fe
1.0
-5.091 5.091 2.843
5.091 -5.091 2.843
5.091 5.091 -2.843
Pu Fe
12 2
direct
0.090 0.779 0.870
0.098 0.402 0.500
0.221 0.090 0.311
0.279 0.590 0.870
0.402 0.902 0.303
0.410 0.279 0.689
0.590 0.721 0.311
0.598 0.098 0.697
0.721 0.410 0.130
0.779 0.910 0.689
0.902 0.598 0.500
0.910 0.221 0.130
0.250 0.250 0.000
0.750 0.750 0.000
```

The 10 most intense peaks (2θ = 10–90°), in order of falling intensity:
2theta  intensity
35.5  1000
31.5  340
58.7  244
82.7  174
63.9  128
45.4  127
73.8  122
39.8  101
56.3  95
54.0  85

No. 7
# PuFe2Si2
Theoretical powder diffractogram, Cu Kα (weighted mean of Kα1 and Kα2). Input: a DFT-relaxed cell (PBE, the Materials Project).
Lines closer than 0.1° are merged.

Structure:
```
PuFe2Si2
1.0
-1.959 1.959 4.700
1.959 -1.959 4.700
1.959 1.959 -4.700
Pu Fe Si
1 2 2
direct
0.000 0.000 0.000
0.250 0.750 0.500
0.750 0.250 0.500
0.371 0.371 0.000
0.629 0.629 0.000
```

The 10 most intense peaks (2θ = 10–90°), in order of falling intensity:
2theta  intensity
37.7  1000
24.6  892
36.7  674
46.4  378
60.6  323
53.2  241
80.1  220
54.1  214
32.3  182
68.9  178

No. 8
# Rb4Fe2S5
Theoretical powder diffractogram, Cu Kα (weighted mean of Kα1 and Kα2). Input: a DFT-relaxed cell (PBE, the Materials Project).
Lines closer than 0.1° are merged.

Structure:
```
Rb4Fe2S5
1.0
7.656 0.000 0.000
1.392 8.377 0.000
1.180 1.978 10.219
Rb Fe S
8 4 10
direct
0.060 0.107 0.256
0.205 0.576 0.370
0.410 0.786 0.991
0.422 0.832 0.586
0.578 0.168 0.414
0.590 0.214 0.009
0.795 0.424 0.630
0.940 0.893 0.744
0.091 0.417 0.906
0.271 0.237 0.720
0.729 0.763 0.280
0.909 0.583 0.094
0.093 0.158 0.902
0.157 0.196 0.545
0.191 0.457 0.087
0.261 0.504 0.728
0.455 0.900 0.261
0.545 0.100 0.739
0.739 0.496 0.272
0.809 0.543 0.913
0.843 0.804 0.455
0.907 0.842 0.098
```

The 10 most intense peaks (2θ = 10–90°), in order of falling intensity:
2theta  intensity
27.5  1000
27.3  851
26.5  593
32.3  404
32.5  401
32.7  388
24.7  384
32.8  379
26.2  350
25.2  319

No. 9
# Rb3Fe2S4
Theoretical powder diffractogram, Cu Kα (weighted mean of Kα1 and Kα2). Input: a DFT-relaxed cell (PBE, the Materials Project).
Lines closer than 0.1° are merged.

Structure:
```
Rb3Fe2S4
1.0
7.494 0.000 0.000
0.000 10.946 0.000
0.000 0.000 12.186
Rb Fe S
12 8 16
direct
0.067 0.073 0.139
0.067 0.427 0.139
0.091 0.250 0.771
0.409 0.750 0.271
0.433 0.573 0.639
0.433 0.927 0.639
0.567 0.073 0.361
0.567 0.427 0.361
0.591 0.250 0.729
0.909 0.750 0.229
0.933 0.573 0.861
0.933 0.927 0.861
0.049 0.130 0.473
0.049 0.370 0.473
0.451 0.630 0.973
0.451 0.870 0.973
0.549 0.130 0.027
0.549 0.370 0.027
0.951 0.630 0.527
0.951 0.870 0.527
0.083 0.750 0.655
0.141 0.550 0.396
0.141 0.950 0.396
0.217 0.750 0.032
0.283 0.250 0.532
0.359 0.050 0.896
0.359 0.450 0.896
0.417 0.250 0.155
0.583 0.750 0.845
0.641 0.550 0.104
0.641 0.950 0.104
0.717 0.750 0.468
0.783 0.250 0.968
0.859 0.050 0.604
0.859 0.450 0.604
0.917 0.250 0.345
```

The 10 most intense peaks (2θ = 10–90°), in order of falling intensity:
2theta  intensity
29.8  1000
31.0  976
24.9  931
32.5  561
25.5  548
23.7  532
26.2  531
33.7  438
41.6  380
23.4  375